Calculated powder diffraction line list of MgZnP2O7 for Cu Kα (λ = 1.5418 Å), from a DFT-relaxed cell (GGA-PBE, OQMD).
Peak positions follow from Bragg's law for the DFT cell and can differ from measured ones.

Atomic structure:
Unit cell a=4.4862 b=5.2369 c=5.2478 alpha=103.68 beta=98.43 gamma=98.41
Element x y z (fractional)
Mg  0.0000  0.0000  0.0000
Zn  0.9998  0.6206  0.3802
P  0.4076  0.5364  0.9009
P  0.5930  0.0997  0.4641
O  0.2164  0.7089  0.7704
O  0.2263  0.3736  0.0502
O  0.2847  0.9315  0.3063
O  0.5004  0.3453  0.6554
O  0.7160  0.6945  0.0687
O  0.7749  0.9499  0.6263
O  0.7843  0.2306  0.2922

Most intense lines, 2θ from 10° to 80°, in order of rising 2θ:
d (Å)	two_theta	Rel. int.	hkl
5.002	17.7	33.7	0 1 0
3.017	29.6	51.5	1 0 1
2.995	29.8	100.0	1 1 -1
2.898	30.9	62.4	-1 1 1
2.501	35.9	21.2	0 0 2
2.096	43.2	21.0	1 2 -1
2.031	44.6	25.0	-1 1 2
1.576	58.6	21.1	2 2 -1